# 1
This entry pairs a crystal structure of SrCaTi4O12 with its calculated powder XRD pattern. Radiation: Cu Kα (λ = 1.5418 Å). Structure: the PBE geometry in the Materials Project.
Intensities are scaled so that the largest is 100.

Top 10 peaks for 2θ from 15° to 90°, in order of falling intensity:
- 2.750 Å, I 100, hkl 2 2 0
- 1.945 Å, I 66, hkl 4 0 0
- 4.491 Å, I 65, hkl 1 1 1
- 1.588 Å, I 38, hkl 4 2 2
- 3.889 Å, I 35, hkl 0 0 2
- 2.345 Å, I 33, hkl 1 3 1
- 1.375 Å, I 33, hkl 4 4 0
- 1.785 Å, I 14, hkl 3 1 3
- 1.123 Å, I 10, hkl 4 4 4
- 1.231 Å, I 10, hkl 2 6 0

Structural model:
abc: 7.7692 7.7844 7.7826
angles: 90.00 90.00 90.00
Space group Amm2 (No. 38)
Symmetry-distinct sites (fractional):
Sr 0.0000 0.0000 0.0000 [2 per cell]
Ca 0.5000 0.0000 0.5269 [2 per cell]
Ti 0.2518 0.2452 0.2624 [8 per cell]
O 0.0000 0.2351 0.2597 [4 per cell]
O 0.2407 0.0000 0.7481 [4 per cell]
O 0.2495 0.2343 0.0114 [8 per cell]
O 0.2801 0.0000 0.2847 [4 per cell]
O 0.5000 0.2258 0.7520 [4 per cell]

=====

# 2
This entry pairs a crystal structure of Ca3NdF9 with its calculated powder XRD pattern. Radiation: Cu Kα (λ = 1.5418 Å). Structure: the PBE geometry in the Materials Project.
Intensities are scaled so that the largest is 100.

Top 10 peaks for 2θ from 15° to 90°, in order of falling intensity:
- 3.224 Å, I 100, hkl 1 0 3
- 3.351 Å, I 51, hkl 0 0 8
- 2.022 Å, I 50, hkl 1 0 11
- 1.960 Å, I 39, hkl 2 1 1
- 2.825 Å, I 36, hkl 0 1 -5
- 1.965 Å, I 36, hkl 1 2 1
- 1.971 Å, I 34, hkl 1 -1 0
- 2.289 Å, I 24, hkl 1 1 -8
- 2.150 Å, I 21, hkl 1 1 -9
- 3.830 Å, I 20, hkl 0 0 7

Structural model:
abc: 3.9190 3.9303 26.8940
angles: 86.09 86.05 60.30
Space group P1 (No. 1)
Symmetry-distinct sites (fractional):
Ca 0.0000 0.0000 0.0000 [1 per cell]
Ca 0.0813 0.1669 0.6351 [1 per cell]
Ca 0.2570 0.2994 0.2401 [1 per cell]
Ca 0.3624 0.3578 0.8822 [1 per cell]
Ca 0.6268 0.6513 0.1201 [1 per cell]
Ca 0.7255 0.7494 0.7590 [1 per cell]
Nd 0.4618 0.5563 0.5120 [1 per cell]
Nd 0.8859 0.9350 0.3695 [1 per cell]
F 0.0237 0.0162 0.9126 [1 per cell]
F 0.0511 0.0707 0.7876 [1 per cell]
F 0.1254 0.2183 0.5227 [1 per cell]
F 0.2058 0.2493 0.4159 [1 per cell]
F 0.2329 0.2801 0.3235 [1 per cell]
F 0.3027 0.3258 0.0908 [1 per cell]
F 0.3429 0.3380 0.9692 [1 per cell]
F 0.3985 0.4287 0.7292 [1 per cell]
F 0.4264 0.5148 0.6041 [1 per cell]
F 0.5518 0.6003 0.3708 [1 per cell]
F 0.5989 0.6375 0.2109 [1 per cell]
F 0.6558 0.6641 0.0288 [1 per cell]
F 0.7053 0.7026 0.8521 [1 per cell]
F 0.7417 0.8116 0.6664 [1 per cell]
F 0.7773 0.8725 0.5568 [1 per cell]
F 0.8405 0.9009 0.4638 [1 per cell]
F 0.9133 0.9591 0.2732 [1 per cell]
F 0.9502 0.9786 0.1485 [1 per cell]

=====

# 3
This entry pairs a crystal structure of Ba6Na2As2Ru2O17 with its calculated powder XRD pattern. Radiation: Cu Kα (λ = 1.5418 Å). Structure: the PBE geometry in the Materials Project.
Intensities are scaled so that the largest is 100.

Top 10 peaks for 2θ from 15° to 90°, in order of falling intensity:
- 2.971 Å, I 100, hkl 1 1 0
- 3.039 Å, I 46, hkl 1 0 8
- 3.302 Å, I 31, hkl 1 0 7
- 2.124 Å, I 27, hkl 2 0 8
- 1.715 Å, I 20, hkl 3 0 0
- 1.485 Å, I 18, hkl 2 2 0
- 4.249 Å, I 18, hkl 1 0 4
- 2.208 Å, I 16, hkl 2 0 7
- 1.728 Å, I 16, hkl 2 1 8
- 1.584 Å, I 13, hkl 2 0 15

Structural model:
abc: 5.9411 5.9411 30.1346
angles: 90.00 90.00 120.00
Space group P6_3/mmc (No. 194)
Symmetry-distinct sites (fractional):
Ba 0.0000 0.0000 0.0000 [2 per cell]
Ba 0.0000 0.0000 0.2500 [2 per cell]
Ba 0.3333 0.6667 0.0923 [4 per cell]
Ba 0.3333 0.6667 0.6806 [4 per cell]
Na 0.0000 0.0000 0.1236 [4 per cell]
As 0.3333 0.6667 0.5517 [4 per cell]
Ru 0.3333 0.6667 0.2037 [4 per cell]
O 0.0280 0.5140 0.2500 [6 per cell]
O 0.1767 0.3534 0.5726 [12 per cell]
O 0.1769 0.3538 0.1700 [12 per cell]
O 0.3333 0.6667 0.0050 [4 per cell]

=====

# 4
This entry pairs a crystal structure of Sr2ZrTiO6 with its calculated powder XRD pattern. Radiation: Cu Kα (λ = 1.5418 Å). Structure: the PBE geometry in the Materials Project.
Intensities are scaled so that the largest is 100.

Top 10 peaks for 2θ from 15° to 90°, in order of falling intensity:
- 2.899 Å, I 100, hkl 1 0 2
- 2.869 Å, I 50, hkl 1 1 0
- 1.662 Å, I 38, hkl 2 1 2
- 2.029 Å, I 38, hkl 2 0 0
- 1.679 Å, I 19, hkl 1 1 4
- 1.449 Å, I 18, hkl 2 0 4
- 2.071 Å, I 16, hkl 0 0 4
- 1.435 Å, I 11, hkl 2 2 0
- 2.359 Å, I 11, hkl 1 1 2
- 1.091 Å, I 10, hkl 3 1 4

Structural model:
abc: 4.0579 4.0579 8.2834
angles: 90.00 90.00 90.00
Space group P4mm (No. 99)
Symmetry-distinct sites (fractional):
Sr 0.0000 0.0000 0.0000 [1 per cell]
Sr 0.0000 0.0000 0.4636 [1 per cell]
Zr 0.5000 0.5000 0.7180 [1 per cell]
Ti 0.5000 0.5000 0.2200 [1 per cell]
O 0.0000 0.5000 0.2034 [2 per cell]
O 0.0000 0.5000 0.6794 [2 per cell]
O 0.5000 0.5000 0.4394 [1 per cell]
O 0.5000 0.5000 0.9640 [1 per cell]

=====

# 5
This entry pairs a crystal structure of Li5Mg with its calculated powder XRD pattern. Radiation: Cu Kα (λ = 1.5418 Å). Structure: the PBE geometry in the Materials Project.
Intensities are scaled so that the largest is 100.

Top 10 peaks for 2θ from 15° to 90°, in order of falling intensity:
- 2.365 Å, I 100, hkl 1 0 3
- 2.706 Å, I 35, hkl 1 0 0
- 2.661 Å, I 29, hkl 1 0 1
- 2.537 Å, I 26, hkl 1 0 2
- 4.867 Å, I 23, hkl 0 0 3
- 2.433 Å, I 23, hkl 0 0 6
- 1.809 Å, I 20, hkl 1 0 6
- 1.315 Å, I 18, hkl 1 1 6
- 1.391 Å, I 18, hkl 1 0 9
- 1.562 Å, I 17, hkl 1 1 0

Structural model:
abc: 3.1246 3.1246 14.5996
angles: 90.00 90.00 120.00
Space group P-6m2 (No. 187)
Symmetry-distinct sites (fractional):
Li 0.0000 0.0000 0.0000 [1 per cell]
Li 0.0000 0.0000 0.3294 [2 per cell]
Li 0.3333 0.6667 0.1648 [2 per cell]
Mg 0.3333 0.6667 0.5000 [1 per cell]

=====

# 6
This entry pairs a crystal structure of RbCu4Se3 with its calculated powder XRD pattern. Radiation: Cu Kα (λ = 1.5418 Å). Structure: the PBE geometry in the Materials Project.
Intensities are scaled so that the largest is 100.

Top 10 peaks for 2θ from 15° to 90°, in order of falling intensity:
- 3.155 Å, I 100, hkl 1 0 2
- 2.027 Å, I 53, hkl 2 0 0
- 1.889 Å, I 52, hkl 1 1 4
- 2.178 Å, I 49, hkl 1 1 3
- 1.705 Å, I 32, hkl 2 1 2
- 2.756 Å, I 30, hkl 1 1 1
- 1.142 Å, I 19, hkl 3 1 4
- 1.433 Å, I 17, hkl 2 2 0
- 1.197 Å, I 13, hkl 3 1 3
- 3.350 Å, I 9, hkl 0 0 3

Structural model:
abc: 4.0536 4.0536 10.0504
angles: 90.00 90.00 90.00
Space group P4/mmm (No. 123)
Symmetry-distinct sites (fractional):
Rb 0.0000 0.0000 0.0000 [1 per cell]
Cu 0.0000 0.5000 0.3466 [4 per cell]
Se 0.0000 0.0000 0.5000 [1 per cell]
Se 0.5000 0.5000 0.2127 [2 per cell]

=====

# 7
This entry pairs a crystal structure of TbCo9Si2 with its calculated powder XRD pattern. Radiation: Cu Kα (λ = 1.5418 Å). Structure: the PBE geometry in the Materials Project.
Intensities are scaled so that the largest is 100.

Top 10 peaks for 2θ from 15° to 90°, in order of falling intensity:
- 2.187 Å, I 100, hkl 3 1 2
- 2.162 Å, I 73, hkl 4 2 0
- 2.465 Å, I 29, hkl 3 2 1
- 1.253 Å, I 27, hkl 5 5 2
- 2.040 Å, I 26, hkl 1 0 3
- 1.847 Å, I 26, hkl 5 0 1
- 2.846 Å, I 18, hkl 1 1 2
- 2.865 Å, I 16, hkl 3 0 1
- 3.418 Å, I 16, hkl 2 2 0
- 1.779 Å, I 15, hkl 4 2 2

Structural model:
abc: 9.6667 9.6667 6.2610
angles: 90.00 90.00 90.00
Space group I4_1/amd (No. 141, origin choice 2)
Symmetry-distinct sites (fractional):
Tb 0.0000 0.2500 0.3750 [4 per cell]
Co 0.0000 0.2500 0.8750 [4 per cell]
Co 0.1232 0.0442 0.6828 [32 per cell]
Si 0.0000 0.0000 0.0000 [8 per cell]

=====

Copy entry 5 word for word.
This entry pairs a crystal structure of Li5Mg with its calculated powder XRD pattern. Radiation: Cu Kα (λ = 1.5418 Å). Structure: the PBE geometry in the Materials Project.
Intensities are scaled so that the largest is 100.

Top 10 peaks for 2θ from 15° to 90°, in order of falling intensity:
- 2.365 Å, I 100, hkl 1 0 3
- 2.706 Å, I 35, hkl 1 0 0
- 2.661 Å, I 29, hkl 1 0 1
- 2.537 Å, I 26, hkl 1 0 2
- 4.867 Å, I 23, hkl 0 0 3
- 2.433 Å, I 23, hkl 0 0 6
- 1.809 Å, I 20, hkl 1 0 6
- 1.315 Å, I 18, hkl 1 1 6
- 1.391 Å, I 18, hkl 1 0 9
- 1.562 Å, I 17, hkl 1 1 0

Structural model:
abc: 3.1246 3.1246 14.5996
angles: 90.00 90.00 120.00
Space group P-6m2 (No. 187)
Symmetry-distinct sites (fractional):
Li 0.0000 0.0000 0.0000 [1 per cell]
Li 0.0000 0.0000 0.3294 [2 per cell]
Li 0.3333 0.6667 0.1648 [2 per cell]
Mg 0.3333 0.6667 0.5000 [1 per cell]